# 1
Starting from a structure optimized by DFT (GGA-PBE), the powder X-ray diffraction pattern of HfAu9 was simulated for Cu Kα.
Neutral-atom scattering factors, no anomalous dispersion.

Cell and atoms:
```
data_HfAu9
_cell_length_a 9.3774
_cell_length_b 4.1429
_cell_length_c 9.3968
_cell_angle_alpha 90.00
_cell_angle_beta 91.63
_cell_angle_gamma 90.00
_symmetry_space_group_name_H-M 'C 1 2/m 1'
_symmetry_Int_Tables_number 12
loop_
_symmetry_equiv_pos_as_xyz
'x,y,z'
'-x,-y,-z'
'-x,y,-z'
'x,-y,z'
'x+1/2,y+1/2,z'
'-x+1/2,-y+1/2,-z'
'-x+1/2,y+1/2,-z'
'x+1/2,-y+1/2,z'
loop_
_atom_site_label
_atom_site_fract_x
_atom_site_fract_y
_atom_site_fract_z
Hf1 0.0000 0.0000 0.0000
Au1 0.0000 0.5000 0.5000
Au2 0.0923 0.5000 0.8017
Au3 0.1006 0.0000 0.2975
Au4 0.2013 0.0000 0.5994
Au5 0.2013 0.5000 0.0963
```

Most intense lines, 10° ≤ 2θ ≤ 80°, in order of falling intensity:
h k l	2θ (°)	intensity
3 1 -1	37.1	1000
1 1 3	37.5	977
2 0 -4	42.6	342
0 2 0	43.7	319
4 0 2	43.7	318
2 2 -4	62.6	221
4 2 2	63.5	212
5 1 -5	74.0	135
1 1 -7	74.8	133
3 3 -1	75.9	129

***

# 2
Starting from a structure optimized by DFT (GGA-PBE), the powder X-ray diffraction pattern of Sr2InBiTe5 was simulated for Cu Kα.
Neutral-atom scattering factors, no anomalous dispersion.

Cell and atoms:
```
data_Sr2InBiTe5
_cell_length_a 4.5291
_cell_length_b 20.2580
_cell_length_c 13.9310
_cell_angle_alpha 90.00
_cell_angle_beta 90.00
_cell_angle_gamma 90.00
_symmetry_space_group_name_H-M 'C m c 21'
_symmetry_Int_Tables_number 36
loop_
_symmetry_equiv_pos_as_xyz
'x,y,z'
'-x,-y,z+1/2'
'-x,y,z'
'x,-y,z+1/2'
'x+1/2,y+1/2,z'
'-x+1/2,-y+1/2,z+1/2'
'-x+1/2,y+1/2,z'
'x+1/2,-y+1/2,z+1/2'
loop_
_atom_site_label
_atom_site_fract_x
_atom_site_fract_y
_atom_site_fract_z
Sr1 0.0000 0.1117 0.0000
Sr2 0.0000 0.1265 0.6347
In1 0.0000 0.4376 0.7634
Bi1 0.0000 0.2147 0.3441
Te1 0.0000 0.0486 0.3854
Te2 0.0000 0.2796 0.9983
Te3 0.0000 0.3073 0.6801
Te4 0.0000 0.3618 0.3204
Te5 0.0000 0.4961 0.0889
```

Most intense lines, 10° ≤ 2θ ≤ 80°, in order of falling intensity:
h k l	2θ (°)	intensity
1 1 3	27.9	1000
0 6 1	27.2	587
1 5 2	32.3	514
2 0 0	39.8	459
1 7 4	45.4	270
2 6 1	48.9	237
1 1 2	23.8	191
2 2 6	57.6	173
3 1 3	65.1	140
1 7 2	39.1	119